Entry 1:
This entry pairs a crystal structure of CsYNb6Br18 with its computed powder XRD pattern. Radiation: CuKα. Structure: a cell relaxed with GGA-PBE.
Lines closer than 0.1° are merged.

Principal peaks in the range 2θ = 15–90°, in order of rising 2θ:
| 2θ/deg | Rel. int. |
| --- | --- |
| 29.1 | 36 |
| 31.1 | 86 |
| 33.7 | 100 |
| 34.2 | 32 |
| 48.3 | 30 |
| 48.7 | 37 |

Structural model:
Lattice parameters (Å, degrees): 9.942 9.942 18.490 90.00 90.00 120.00
Sites, in units of the cell vectors:
Cs1 0.333 0.667 0.250
Cs2 0.667 0.333 0.750
Y1 0.333 0.667 0.750
Y2 0.667 0.333 0.250
Nb1 0.039 0.188 0.565
Nb2 0.039 0.851 0.935
Nb3 0.149 0.188 0.935
Nb4 0.149 0.961 0.565
Nb5 0.188 0.039 0.065
Nb6 0.188 0.149 0.435
Nb7 0.812 0.851 0.565
Nb8 0.812 0.961 0.935
Nb9 0.851 0.039 0.435
Nb10 0.851 0.812 0.065
Nb11 0.961 0.149 0.065
Nb12 0.961 0.812 0.435
Br1 0.046 0.231 0.340
Br2 0.046 0.815 0.160
Br3 0.086 0.448 0.662
Br4 0.086 0.638 0.838
Br5 0.138 0.415 0.001
Br6 0.138 0.724 0.499
Br7 0.185 0.231 0.160
Br8 0.185 0.954 0.340
Br9 0.231 0.046 0.840
Br10 0.231 0.185 0.660
Br11 0.276 0.415 0.499
Br12 0.276 0.862 0.001
Br13 0.362 0.448 0.838
Br14 0.362 0.914 0.662
Br15 0.415 0.138 0.501
Br16 0.415 0.276 0.999
Br17 0.448 0.086 0.162
Br18 0.448 0.362 0.338
Br19 0.552 0.638 0.662
Br20 0.552 0.914 0.838
Br21 0.585 0.724 0.001
Br22 0.585 0.862 0.499
Br23 0.638 0.086 0.338
Br24 0.638 0.552 0.162
Br25 0.724 0.138 0.999
Br26 0.724 0.585 0.501
Br27 0.769 0.815 0.340
Br28 0.769 0.954 0.160
Br29 0.815 0.046 0.660
Br30 0.815 0.769 0.840
Br31 0.862 0.276 0.501
Br32 0.862 0.585 0.999
Br33 0.914 0.362 0.162
Br34 0.914 0.552 0.338
Br35 0.954 0.185 0.840
Br36 0.954 0.769 0.660



Entry 2:
This entry pairs a crystal structure of Cs2Mg12Bi7 with its computed powder XRD pattern. Radiation: CuKα. Structure: a cell relaxed with GGA-PBE.
Lines closer than 0.1° are merged.

Principal peaks in the range 2θ = 15–90°, in order of rising 2θ:
| 2θ/deg | Rel. int. |
| --- | --- |
| 21.6 | 100 |
| 23.4 | 52 |
| 24.8 | 72 |
| 28.7 | 54 |
| 38.0 | 49 |
| 40.9 | 43 |

Structural model:
Lattice parameters (Å, degrees): 12.541 12.541 4.772 90.00 90.00 120.00
Sites, in units of the cell vectors:
Cs1 0.333 0.667 0.252
Cs2 0.667 0.333 0.748
Mg1 0.046 0.428 0.747
Mg2 0.108 0.250 0.245
Mg3 0.143 0.892 0.245
Mg4 0.250 0.143 0.755
Mg5 0.382 0.954 0.747
Mg6 0.428 0.382 0.253
Mg7 0.572 0.618 0.747
Mg8 0.618 0.046 0.253
Mg9 0.750 0.857 0.245
Mg10 0.857 0.108 0.755
Mg11 0.892 0.750 0.755
Mg12 0.954 0.572 0.253
Bi1 0.000 0.000 0.500
Bi2 0.118 0.716 0.753
Bi3 0.284 0.402 0.753
Bi4 0.402 0.118 0.247
Bi5 0.598 0.882 0.753
Bi6 0.716 0.598 0.247
Bi7 0.882 0.284 0.247



Entry 3:
This entry pairs a crystal structure of NpB3H12 with its computed powder XRD pattern. Radiation: CuKα. Structure: a cell relaxed with GGA-PBE.
Lines closer than 0.1° are merged.

Principal peaks in the range 2θ = 15–90°, in order of rising 2θ:
| 2θ/deg | Rel. int. |
| --- | --- |
| 15.9 | 100 |
| 22.5 | 34 |
| 22.7 | 34 |
| 36.0 | 26 |
| 36.2 | 25 |
| 39.8 | 26 |

Structural model:
Lattice parameters (Å, degrees): 7.889 7.889 7.889 59.62 59.62 59.62
Sites, in units of the cell vectors:
Np1 0.000 0.000 0.000
Np2 0.500 0.500 0.500
B1 0.249 0.750 0.251
B2 0.250 0.749 0.751
B3 0.251 0.249 0.750
B4 0.749 0.751 0.250
B5 0.750 0.251 0.249
B6 0.751 0.250 0.749
H1 0.093 0.904 0.281
H2 0.096 0.719 0.907
H3 0.098 0.280 0.718
H4 0.218 0.780 0.598
H5 0.219 0.596 0.407
H6 0.220 0.402 0.782
H7 0.280 0.718 0.098
H8 0.281 0.093 0.904
H9 0.282 0.902 0.720
H10 0.402 0.782 0.220
H11 0.404 0.593 0.781
H12 0.407 0.219 0.596
H13 0.593 0.781 0.404
H14 0.596 0.407 0.219
H15 0.598 0.218 0.780
H16 0.718 0.098 0.280
H17 0.719 0.907 0.096
H18 0.720 0.282 0.902
H19 0.780 0.598 0.218
H20 0.781 0.404 0.593
H21 0.782 0.220 0.402
H22 0.902 0.720 0.282
H23 0.904 0.281 0.093
H24 0.907 0.096 0.719



Entry 4:
This entry pairs a crystal structure of Ac8Ir3S4Br with its computed powder XRD pattern. Radiation: CuKα. Structure: a cell relaxed with GGA-PBE.
Lines closer than 0.1° are merged.

Principal peaks in the range 2θ = 15–90°, in order of rising 2θ:
| 2θ/deg | Rel. int. |
| --- | --- |
| 25.0 | 20 |
| 28.6 | 100 |
| 40.2 | 40 |
| 41.7 | 36 |
| 51.3 | 19 |
| 66.2 | 17 |

Structural model:
Lattice parameters (Å, degrees): 8.973 8.973 8.973 57.80 57.80 57.80
Sites, in units of the cell vectors:
Ac1 0.228 0.757 0.757
Ac2 0.243 0.243 0.243
Ac3 0.243 0.243 0.772
Ac4 0.243 0.772 0.243
Ac5 0.757 0.228 0.757
Ac6 0.757 0.757 0.228
Ac7 0.757 0.757 0.757
Ac8 0.772 0.243 0.243
Ir1 0.000 0.000 0.500
Ir2 0.000 0.500 0.000
Ir3 0.500 0.000 0.000
S1 0.000 0.000 0.000
S2 0.000 0.500 0.500
S3 0.500 0.000 0.500
S4 0.500 0.500 0.000
Br1 0.500 0.500 0.500



Entry 5:
This entry pairs a crystal structure of Sr2Cd with its computed powder XRD pattern. Radiation: CuKα. Structure: a cell relaxed with GGA-PBE.
Lines closer than 0.1° are merged.

Principal peaks in the range 2θ = 15–90°, in order of rising 2θ:
| 2θ/deg | Rel. int. |
| --- | --- |
| 16.4 | 40 |
| 25.5 | 49 |
| 27.3 | 86 |
| 29.5 | 86 |
| 31.0 | 100 |
| 33.2 | 33 |

Structural model:
Lattice parameters (Å, degrees): 4.382 14.757 7.938 90.00 90.00 90.00
Sites, in units of the cell vectors:
Sr1 0.000 0.023 0.000
Sr2 0.000 0.288 0.814
Sr3 0.000 0.712 0.314
Sr4 0.000 0.977 0.500
Sr5 0.500 0.212 0.314
Sr6 0.500 0.477 0.500
Sr7 0.500 0.523 0.000
Sr8 0.500 0.788 0.814
Cd1 0.000 0.386 0.216
Cd2 0.000 0.614 0.716
Cd3 0.500 0.114 0.716
Cd4 0.500 0.886 0.216



Entry 6:
This entry pairs a crystal structure of MgZrRe with its computed powder XRD pattern. Radiation: CuKα. Structure: a cell relaxed with GGA-PBE.
Lines closer than 0.1° are merged.

Principal peaks in the range 2θ = 15–90°, in order of rising 2θ:
| 2θ/deg | Rel. int. |
| --- | --- |
| 33.4 | 26 |
| 37.7 | 24 |
| 37.9 | 100 |
| 38.4 | 25 |
| 45.9 | 23 |
| 68.2 | 23 |

Structural model:
Lattice parameters (Å, degrees): 3.361 4.692 14.323 90.00 90.00 90.00
Sites, in units of the cell vectors:
Mg1 0.000 0.000 0.000
Mg2 0.000 0.500 0.500
Mg3 0.500 0.000 0.500
Mg4 0.500 0.500 0.000
Zr1 0.000 0.000 0.307
Zr2 0.000 0.500 0.807
Zr3 0.500 0.000 0.807
Zr4 0.500 0.500 0.307
Re1 0.000 0.000 0.655
Re2 0.000 0.500 0.155
Re3 0.500 0.000 0.155
Re4 0.500 0.500 0.655



Entry 7:
This entry pairs a crystal structure of K8Na6Tl with its computed powder XRD pattern. Radiation: CuKα. Structure: a cell relaxed with GGA-PBE.
Lines closer than 0.1° are merged.

Principal peaks in the range 2θ = 15–90°, in order of rising 2θ:
| 2θ/deg | Rel. int. |
| --- | --- |
| 15.1 | 39 |
| 20.2 | 44 |
| 24.0 | 50 |
| 24.8 | 86 |
| 29.4 | 29 |
| 29.6 | 100 |

Structural model:
Lattice parameters (Å, degrees): 9.483 9.483 9.483 76.50 76.50 76.50
Sites, in units of the cell vectors:
K1 0.114 0.114 0.114
K2 0.176 0.238 0.562
K3 0.238 0.562 0.176
K4 0.438 0.824 0.762
K5 0.562 0.176 0.238
K6 0.762 0.438 0.824
K7 0.824 0.762 0.438
K8 0.886 0.886 0.886
Na1 0.188 0.520 0.787
Na2 0.213 0.812 0.480
Na3 0.480 0.213 0.812
Na4 0.520 0.787 0.188
Na5 0.787 0.188 0.520
Na6 0.812 0.480 0.213
Tl1 0.500 0.500 0.500



Entry 8:
This entry pairs a crystal structure of Pu3ThPt4 with its computed powder XRD pattern. Radiation: CuKα. Structure: a cell relaxed with GGA-PBE.
Lines closer than 0.1° are merged.

Principal peaks in the range 2θ = 15–90°, in order of rising 2θ:
| 2θ/deg | Rel. int. |
| --- | --- |
| 34.5 | 43 |
| 36.0 | 100 |
| 36.2 | 97 |
| 37.4 | 49 |
| 39.4 | 23 |
| 51.8 | 28 |

Structural model:
Lattice parameters (Å, degrees): 10.390 9.623 3.511 90.00 90.53 90.00
Sites, in units of the cell vectors:
Pu1 0.000 0.000 0.000
Pu2 0.285 0.253 0.011
Pu3 0.285 0.747 0.011
Pu4 0.500 0.500 0.000
Pu5 0.785 0.247 0.011
Pu6 0.785 0.753 0.011
Th1 0.499 0.000 0.999
Th2 0.999 0.500 0.999
Pt1 0.046 0.251 0.503
Pt2 0.046 0.749 0.503
Pt3 0.242 0.000 0.506
Pt4 0.242 0.500 0.508
Pt5 0.546 0.249 0.503
Pt6 0.546 0.751 0.503
Pt7 0.742 0.000 0.508
Pt8 0.742 0.500 0.506